[1]
Diffraction record for K10NbInAs6. The XRD peak list is simulated, not measured: it uses DFT lattice parameters and positions (GGA-PBE) and Cu Kα X-rays.
Kinematic intensities with the Lorentz-polarization factor, no thermal factor.

```
K10NbInAs6
1.0
9.2016 0.0000 0.0000
0.0000 8.4140 0.0000
-8.8094 0.0000 15.3349
K Nb In As
20 2 2 12
Cartesian
0.0000 0.6255 0.0000 K
-4.4047 7.7885 7.6674 K
-1.4342 3.4610 2.5123 K
-5.8389 4.9529 10.1798 K
-6.7225 2.2525 12.8010 K
-2.3178 6.1615 5.1336 K
-3.4589 2.0383 10.1287 K
0.9459 6.3757 2.4612 K
0.0232 0.7149 5.0365 K
-4.3815 7.6991 12.7039 K
-1.3456 3.4719 7.4622 K
-5.7503 4.9421 15.1296 K
2.3968 2.3709 2.5550 K
-2.0079 6.0431 10.2225 K
-3.1494 1.9794 15.3150 K
1.2553 6.4346 7.6476 K
2.2015 2.3232 7.4986 K
-2.2032 6.0908 15.1660 K
5.2882 2.1608 4.8480 K
0.8834 6.2532 12.5154 K
0.1291 0.9963 10.2892 Nb
4.5338 7.4177 2.6218 Nb
-1.1426 3.1980 12.7098 In
3.2621 5.2160 5.0424 In
0.7252 4.1943 4.9635 As
-3.6795 4.2197 12.6309 As
-1.1144 0.2740 8.2315 As
3.2903 8.1400 0.5641 As
-1.2076 0.3931 12.3824 As
3.1971 8.0209 4.7149 As
0.3002 3.5474 10.3295 As
4.7049 4.8666 2.6621 As
6.8489 0.0257 2.5990 As
2.4441 8.3883 10.2664 As
0.3311 3.9050 14.8970 As
4.7359 4.5090 7.2296 As
```

Principal peaks in the range 5 to 70 degrees two-theta, most intense first:
11.09°, I 100; 29.31°, I 99; 35.11°, I 86; 33.40°, I 85; 27.86°, I 75; 28.48°, I 67; 29.00°, I 63; 14.27°, I 57

=====

[2]
Diffraction record for Al2Cu3Au2. The XRD peak list is simulated, not measured: it uses DFT lattice parameters and positions (GGA-PBE) and Cu Kα X-rays.
Kinematic intensities with the Lorentz-polarization factor, no thermal factor.

```
Al2Cu3Au2
1.0
4.8543 -4.2652 0.0000
4.8543 4.2652 0.0000
-4.8203 0.0000 5.1170
Al Cu Au
4 6 4
Cartesian
-1.1096 0.0000 1.6307 Al
1.2259 -0.2659 3.3576 Al
3.6625 -0.2659 1.7594 Al
5.9979 0.0000 3.4863 Al
0.1243 2.0337 2.6535 Cu
1.1978 -0.6404 0.7956 Cu
4.7641 2.0337 2.4635 Cu
2.4442 -2.2535 2.5585 Cu
4.8543 -2.5251 0.0000 Cu
3.6906 -0.6404 4.3214 Cu
2.4353 1.9394 1.0894 Au
-1.1698 0.2417 4.2850 Au
2.4531 1.9394 4.0276 Au
6.0582 0.2417 0.8320 Au
```

Principal peaks in the range 5 to 70 degrees two-theta, most intense first:
42.42°, I 100; 42.87°, I 90; 39.94°, I 62; 34.02°, I 58; 16.33°, I 54; 45.26°, I 50; 39.69°, I 39; 30.76°, I 31